Simulated X-ray powder pattern
Compound: KTl9Au3
Radiation: CuKα
Structure: the GGA-PBE geometry in Alexandria

Most intense lines, 2θ from 10° to 90°, in order of falling intensity:
| Position (°2θ) | d (Å) | intensity |
| --- | --- | --- |
| 31.84 | 2.810 | 100 |
| 34.42 | 2.606 | 73 |
| 37.72 | 2.385 | 61 |
| 33.05 | 2.710 | 54 |
| 38.39 | 2.345 | 54 |
| 58.38 | 1.581 | 48 |

Atomic structure:
```
KTl9Au3
1.0
2.9406 -7.7714 0.0000
2.9406 7.7714 0.0000
-2.9295 0.0000 8.1491
K Tl Au
1 9 3
Direct
0.0000 0.0000 0.0000
0.0116 0.6517 0.6532
0.2806 0.5005 0.7960
0.3483 0.9884 0.3468
0.5005 0.2806 0.7960
0.5000 0.5000 0.5000
0.4995 0.7194 0.2040
0.6517 0.0116 0.6532
0.7194 0.4995 0.2040
0.9884 0.3483 0.3468
0.0000 0.0000 0.5000
0.0000 0.5000 0.0000
0.5000 0.0000 0.0000
```